[1]
For Mn2Ni21B6, the GGA-PBE geometry in the Materials Project gives the theoretical X-ray diffraction stick pattern in this record (λ = 1.5418 Å (Cu Kα)).

Most intense lines, 10 to 90 degrees two-theta, low angle first:
2theta	d_spacing	Rel. int.
38.7	2.327	19.2
42.6	2.124	26.3
45.3	2.003	100.0
49.6	1.839	20.2
52.0	1.759	26.5
52.8	1.734	14.1
77.9	1.226	19.9
79.8	1.202	12.9
83.0	1.163	6.3
84.9	1.142	7.0

Cell and atoms:
Cell: 7.3577 7.3577 7.3577 Å, 60.00 60.00 60.00°
Positions (direct):
Mn1 0.2500 0.2500 0.2500
Mn2 0.7500 0.7500 0.7500
Ni1 0.0000 0.0000 0.0000
Ni2 0.0000 0.0000 0.3403
Ni3 0.0000 0.0000 0.6597
Ni4 0.0000 0.3403 0.0000
Ni5 0.0000 0.3403 0.6597
Ni6 0.0000 0.6597 0.0000
Ni7 0.0000 0.6597 0.3403
Ni8 0.1423 0.6192 0.6192
Ni9 0.3403 0.0000 0.0000
Ni10 0.3403 0.0000 0.6597
Ni11 0.3403 0.6597 0.0000
Ni12 0.3808 0.3808 0.3808
Ni13 0.3808 0.3808 0.8577
Ni14 0.3808 0.8577 0.3808
Ni15 0.6192 0.1423 0.6192
Ni16 0.6192 0.6192 0.1423
Ni17 0.6192 0.6192 0.6192
Ni18 0.6597 0.0000 0.0000
Ni19 0.6597 0.0000 0.3403
Ni20 0.6597 0.3403 0.0000
Ni21 0.8577 0.3808 0.3808
B1 0.2695 0.2695 0.7305
B2 0.2695 0.7305 0.2695
B3 0.2695 0.7305 0.7305
B4 0.7305 0.2695 0.2695
B5 0.7305 0.2695 0.7305
B6 0.7305 0.7305 0.2695

[2]
For TiBi2O5, the GGA-PBE geometry in the Materials Project gives the theoretical X-ray diffraction stick pattern in this record (λ = 1.5418 Å (Cu Kα)).

Most intense lines, 10 to 90 degrees two-theta, low angle first:
2theta	d_spacing	Rel. int.
11.1	7.963	33.4
22.9	3.877	24.0
28.0	3.192	100.0
31.9	2.806	16.1
33.8	2.654	13.7
36.1	2.490	14.2
46.8	1.940	15.0
47.1	1.928	13.8
54.5	1.685	16.0
56.9	1.618	14.5

Cell and atoms:
Cell: 8.4556 8.4556 5.6113 Å, 90.00 90.00 39.32°
Positions (direct):
Ti1 0.1904 0.8096 0.5000
Ti2 0.8096 0.1904 0.0000
Bi1 0.1229 0.5356 0.9531
Bi2 0.4644 0.8771 0.9531
Bi3 0.5356 0.1229 0.4531
Bi4 0.8771 0.4644 0.4531
O1 0.0807 0.9193 0.1847
O2 0.2300 0.2662 0.2333
O3 0.2545 0.5551 0.5706
O4 0.2662 0.2300 0.7333
O5 0.4449 0.7455 0.5706
O6 0.5551 0.2545 0.0706
O7 0.7338 0.7700 0.2333
O8 0.7455 0.4449 0.0706
O9 0.7700 0.7338 0.7333
O10 0.9193 0.0807 0.6847

[3]
For NpFe2Si2, the GGA-PBE geometry in the Materials Project gives the theoretical X-ray diffraction stick pattern in this record (λ = 1.5418 Å (Cu Kα)).

Most intense lines, 10 to 90 degrees two-theta, low angle first:
2theta	d_spacing	Rel. int.
24.4	3.646	89.2
32.0	2.795	18.1
36.5	2.462	68.0
37.4	2.405	100.0
45.9	1.976	38.4
52.7	1.738	24.2
53.8	1.704	20.9
60.0	1.541	32.8
68.4	1.371	18.2
79.3	1.208	22.1

Cell and atoms:
Cell: 5.4868 5.4868 5.4868 Å, 137.77 137.77 61.25°
Positions (direct):
Np1 0.0000 0.0000 0.0000
Fe1 0.2500 0.7500 0.5000
Fe2 0.7500 0.2500 0.5000
Si1 0.3695 0.3695 0.0000
Si2 0.6305 0.6305 0.0000

[4]
For CaI2O12, the GGA-PBE geometry in the Materials Project gives the theoretical X-ray diffraction stick pattern in this record (λ = 1.5418 Å (Cu Kα)).

Most intense lines, 10 to 90 degrees two-theta, low angle first:
2theta	d_spacing	Rel. int.
13.9	6.358	37.1
17.1	5.172	37.3
18.5	4.799	100.0
24.7	3.608	26.6
25.5	3.496	28.9
26.7	3.341	54.3
28.7	3.111	31.1
30.2	2.959	19.4
31.9	2.806	57.7
45.6	1.990	20.7

Cell and atoms:
Cell: 11.0087 8.1408 12.6115 Å, 59.53 39.59 80.88°
Positions (direct):
Ca1 0.0000 0.0000 0.0000
Ca2 0.2500 0.2500 0.2500
I1 0.0181 0.7725 0.7742
I2 0.4758 0.8148 0.2319
I3 0.7725 0.0181 0.4352
I4 0.8148 0.4758 0.4775
O1 0.0678 0.9723 0.5753
O2 0.0686 0.3539 0.6078
O3 0.0704 0.4658 0.3264
O4 0.1126 0.9236 0.7842
O5 0.2177 0.3627 0.8095
O6 0.2312 0.6954 0.6256
O7 0.2804 0.6422 0.8961
O8 0.2921 0.9836 0.9527
O9 0.2973 0.4783 0.9579
O10 0.3539 0.0686 0.9696
O11 0.3627 0.2177 0.6101
O12 0.4405 0.6399 0.0323
O13 0.4658 0.0704 0.1374
O14 0.4783 0.2973 0.2664
O15 0.6244 0.8022 0.0188
O16 0.6399 0.4405 0.8873
O17 0.6422 0.2804 0.1814
O18 0.6747 0.8654 0.1822
O19 0.6954 0.2312 0.4478
O20 0.8022 0.6244 0.5546
O21 0.8654 0.6747 0.2777
O22 0.9236 0.1126 0.1796
O23 0.9723 0.0678 0.3846
O24 0.9836 0.2921 0.7717

[5]
For SrHoO3, the GGA-PBE geometry in the Materials Project gives the theoretical X-ray diffraction stick pattern in this record (λ = 1.5418 Å (Cu Kα)).

Most intense lines, 10 to 90 degrees two-theta, low angle first:
2theta	d_spacing	Rel. int.
20.4	4.355	18.4
29.0	3.080	100.0
41.5	2.178	31.0
46.6	1.948	8.1
51.4	1.778	41.8
60.1	1.540	19.7
64.1	1.452	3.8
68.1	1.377	18.3
75.6	1.257	6.5
82.9	1.164	21.8

Cell and atoms:
Cell: 4.3554 4.3554 4.3554 Å, 90.00 90.00 90.00°
Positions (direct):
Sr1 0.0000 0.0000 0.0000
Ho1 0.5000 0.5000 0.5000
O1 0.0000 0.5000 0.5000
O2 0.5000 0.0000 0.5000
O3 0.5000 0.5000 0.0000